Entry 1:
Theoretical powder diffraction line list
Compound: Cs7Te6As
Radiation: Cu Kα (λ = 1.5418 Å)
Structure: DFT lattice parameters and positions (GGA-PBE)

Structural model:
```
28
Lattice="-4.838 8.679 9.828 4.838 -8.679 9.828 4.838 8.679 -9.828" Properties=species:S:1:pos:R:3 pbc="T T T"
Cs 2.246 0.424 0.000
Cs 6.415 3.681 -2.444
Cs 1.577 4.998 -2.444
Cs 0.000 0.000 4.914
Cs 6.415 3.681 2.444
Cs 1.577 4.998 2.444
Cs 2.246 -0.424 9.828
Cs 2.592 9.103 0.000
Cs 3.260 3.681 7.384
Cs -1.577 4.998 7.384
Cs 0.000 0.000 14.742
Cs 3.260 3.681 12.272
Cs -1.577 4.998 12.272
Cs 2.592 8.254 9.828
Te 6.396 -1.538 3.497
Te 4.346 -5.765 9.828
Te 3.279 -1.538 6.331
Te 3.279 1.538 3.497
Te 4.346 5.765 0.000
Te 6.396 1.538 6.331
Te -1.558 7.141 3.497
Te 0.492 2.914 9.828
Te 1.558 7.141 6.331
Te 1.558 10.217 3.497
Te 0.492 14.444 0.000
Te -1.558 10.217 6.331
As 4.838 0.000 4.914
As 0.000 8.679 4.914
```

Top 8 peaks for 10 to 90 degrees two-theta, in order of rising 2θ:
- 2θ 13.82, rel. 274
- 2θ 20.77, rel. 551
- 2θ 22.91, rel. 1000
- 2θ 24.41, rel. 233
- 2θ 27.62, rel. 503
- 2θ 29.10, rel. 313
- 2θ 29.73, rel. 322
- 2θ 34.64, rel. 249


Entry 2:
Theoretical powder diffraction line list
Compound: Cs8TeAs2
Radiation: Cu Kα (λ = 1.5418 Å)
Structure: DFT lattice parameters and positions (GGA-PBE)

Structural model:
```
11
Lattice="-3.049 4.731 9.282 3.049 -4.731 9.282 3.049 4.731 -9.282" Properties=species:S:1:pos:R:3 pbc="T T T"
Cs 3.049 2.613 -2.955
Cs 0.000 0.000 3.067
Cs 0.000 2.781 0.000
Cs 3.049 2.613 2.955
Cs 0.000 2.119 6.327
Cs 0.000 6.681 0.000
Cs 0.000 0.000 15.497
Cs 0.000 2.119 12.237
Te 3.049 0.000 0.000
As 3.049 0.000 5.919
As 0.000 4.731 3.363
```

Top 8 peaks for 10 to 90 degrees two-theta, in order of rising 2θ:
- 2θ 19.78, rel. 98
- 2θ 25.90, rel. 104
- 2θ 27.88, rel. 1000
- 2θ 28.86, rel. 241
- 2θ 29.29, rel. 248
- 2θ 41.58, rel. 176
- 2θ 50.54, rel. 164
- 2θ 51.08, rel. 185


Entry 3:
Theoretical powder diffraction line list
Compound: Cs3Te3As
Radiation: Cu Kα (λ = 1.5418 Å)
Structure: DFT lattice parameters and positions (GGA-PBE)

Structural model:
```
14
Lattice="5.107 -7.559 0.000 5.107 7.559 0.000 -1.044 0.000 9.546" Properties=species:S:1:pos:R:3 pbc="T T T"
Cs 5.107 4.878 0.000
Cs 4.586 4.200 4.773
Cs 3.637 0.000 1.371
Cs 5.535 0.000 8.175
Cs 4.586 -4.200 4.773
Cs 5.107 -4.878 0.000
Te 0.210 0.000 2.744
Te 2.329 2.152 7.511
Te 2.329 -2.152 7.511
Te 6.842 2.152 2.035
Te 6.842 -2.152 2.035
Te 8.961 0.000 6.802
As 1.336 0.000 6.263
As 7.835 0.000 3.283
```

Top 8 peaks for 10 to 90 degrees two-theta, in order of rising 2θ:
- 2θ 13.37, rel. 386
- 2θ 22.02, rel. 464
- 2θ 22.19, rel. 687
- 2θ 26.96, rel. 1000
- 2θ 27.62, rel. 431
- 2θ 27.85, rel. 864
- 2θ 29.09, rel. 284
- 2θ 44.87, rel. 280


Entry 4:
Theoretical powder diffraction line list
Compound: CsTe2As
Radiation: Cu Kα (λ = 1.5418 Å)
Structure: DFT lattice parameters and positions (GGA-PBE)

Structural model:
```
16
Lattice="7.617 0.000 0.000 0.000 7.560 0.000 -3.461 0.000 13.029" Properties=species:S:1:pos:R:3 pbc="T T T"
Cs 0.913 1.855 1.245
Cs -0.817 5.705 7.759
Cs 4.973 1.855 5.270
Cs 3.243 5.705 11.784
Te -0.425 2.072 8.722
Te 1.305 5.488 2.207
Te 1.288 2.725 5.098
Te -0.442 4.835 11.612
Te 4.598 2.725 1.417
Te 2.868 4.835 7.931
Te 2.851 2.072 10.821
Te 4.582 5.488 4.307
As 0.340 2.317 11.573
As 2.070 5.243 5.059
As 2.086 2.317 7.970
As 3.817 5.243 1.456
```

Top 8 peaks for 10 to 90 degrees two-theta, in order of rising 2θ:
- 2θ 11.71, rel. 455
- 2θ 23.56, rel. 1000
- 2θ 24.53, rel. 561
- 2θ 27.38, rel. 486
- 2θ 28.41, rel. 248
- 2θ 28.94, rel. 289
- 2θ 36.43, rel. 261
- 2θ 49.22, rel. 249


Entry 5:
Theoretical powder diffraction line list
Compound: Cs2Te3As
Radiation: Cu Kα (λ = 1.5418 Å)
Structure: DFT lattice parameters and positions (GGA-PBE)

Structural model:
```
24
Lattice="4.160 -7.705 0.000 4.160 7.705 0.000 0.000 0.000 18.655" Properties=species:S:1:pos:R:3 pbc="T T T"
Cs 4.160 6.618 15.659
Cs 4.160 5.441 8.012
Cs 4.160 2.264 17.339
Cs 4.160 1.087 6.331
Cs 4.160 -1.087 12.325
Cs 4.160 -2.264 1.316
Cs 4.160 -5.441 10.644
Cs 4.160 -6.618 2.997
Te 2.080 3.036 13.992
Te 4.160 6.267 11.815
Te 4.160 5.458 0.919
Te 4.160 2.246 10.247
Te 4.160 1.438 2.487
Te 2.080 -3.036 4.664
Te 6.240 3.036 13.992
Te 4.160 -1.438 16.168
Te 4.160 -2.246 8.409
Te 4.160 -5.458 17.736
Te 4.160 -6.267 6.840
Te 6.240 -3.036 4.664
As 4.160 3.953 3.033
As 4.160 3.752 12.360
As 4.160 -3.752 6.295
As 4.160 -3.953 15.623
```

Top 8 peaks for 10 to 90 degrees two-theta, in order of rising 2θ:
- 2θ 21.36, rel. 777
- 2θ 23.58, rel. 714
- 2θ 26.54, rel. 1000
- 2θ 28.29, rel. 337
- 2θ 28.76, rel. 445
- 2θ 34.32, rel. 474
- 2θ 34.87, rel. 387
- 2θ 51.70, rel. 313


Entry 6:
Theoretical powder diffraction line list
Compound: Cs2Te5As2
Radiation: Cu Kα (λ = 1.5418 Å)
Structure: DFT lattice parameters and positions (GGA-PBE)

Structural model:
```
9
Lattice="6.905 0.000 0.000 0.627 7.656 0.000 2.791 2.402 7.401" Properties=species:S:1:pos:R:3 pbc="T T T"
Cs 1.718 3.231 2.307
Cs 8.606 6.827 5.093
Te 2.520 6.936 1.090
Te 5.233 8.574 5.090
Te 5.162 5.029 3.700
Te 5.091 1.484 2.311
Te 7.804 3.122 6.311
As 5.184 3.336 6.048
As 5.139 6.722 1.353
```

Top 8 peaks for 10 to 90 degrees two-theta, in order of rising 2θ:
- 2θ 25.69, rel. 472
- 2θ 26.07, rel. 1000
- 2θ 27.74, rel. 443
- 2θ 28.41, rel. 381
- 2θ 28.60, rel. 312
- 2θ 30.28, rel. 523
- 2θ 30.49, rel. 277
- 2θ 43.19, rel. 292


Copy entry 1 word for word.
Theoretical powder diffraction line list
Compound: Cs7Te6As
Radiation: Cu Kα (λ = 1.5418 Å)
Structure: DFT lattice parameters and positions (GGA-PBE)

Structural model:
```
28
Lattice="-4.838 8.679 9.828 4.838 -8.679 9.828 4.838 8.679 -9.828" Properties=species:S:1:pos:R:3 pbc="T T T"
Cs 2.246 0.424 0.000
Cs 6.415 3.681 -2.444
Cs 1.577 4.998 -2.444
Cs 0.000 0.000 4.914
Cs 6.415 3.681 2.444
Cs 1.577 4.998 2.444
Cs 2.246 -0.424 9.828
Cs 2.592 9.103 0.000
Cs 3.260 3.681 7.384
Cs -1.577 4.998 7.384
Cs 0.000 0.000 14.742
Cs 3.260 3.681 12.272
Cs -1.577 4.998 12.272
Cs 2.592 8.254 9.828
Te 6.396 -1.538 3.497
Te 4.346 -5.765 9.828
Te 3.279 -1.538 6.331
Te 3.279 1.538 3.497
Te 4.346 5.765 0.000
Te 6.396 1.538 6.331
Te -1.558 7.141 3.497
Te 0.492 2.914 9.828
Te 1.558 7.141 6.331
Te 1.558 10.217 3.497
Te 0.492 14.444 0.000
Te -1.558 10.217 6.331
As 4.838 0.000 4.914
As 0.000 8.679 4.914
```

Top 8 peaks for 10 to 90 degrees two-theta, in order of rising 2θ:
- 2θ 13.82, rel. 274
- 2θ 20.77, rel. 551
- 2θ 22.91, rel. 1000
- 2θ 24.41, rel. 233
- 2θ 27.62, rel. 503
- 2θ 29.10, rel. 313
- 2θ 29.73, rel. 322
- 2θ 34.64, rel. 249


What did the sixth record say?
Theoretical powder diffraction line list
Compound: Cs2Te5As2
Radiation: Cu Kα (λ = 1.5418 Å)
Structure: DFT lattice parameters and positions (GGA-PBE)

Structural model:
```
9
Lattice="6.905 0.000 0.000 0.627 7.656 0.000 2.791 2.402 7.401" Properties=species:S:1:pos:R:3 pbc="T T T"
Cs 1.718 3.231 2.307
Cs 8.606 6.827 5.093
Te 2.520 6.936 1.090
Te 5.233 8.574 5.090
Te 5.162 5.029 3.700
Te 5.091 1.484 2.311
Te 7.804 3.122 6.311
As 5.184 3.336 6.048
As 5.139 6.722 1.353
```

Top 8 peaks for 10 to 90 degrees two-theta, in order of rising 2θ:
- 2θ 25.69, rel. 472
- 2θ 26.07, rel. 1000
- 2θ 27.74, rel. 443
- 2θ 28.41, rel. 381
- 2θ 28.60, rel. 312
- 2θ 30.28, rel. 523
- 2θ 30.49, rel. 277
- 2θ 43.19, rel. 292


Copy entry 1 word for word.
Theoretical powder diffraction line list
Compound: Cs7Te6As
Radiation: Cu Kα (λ = 1.5418 Å)
Structure: DFT lattice parameters and positions (GGA-PBE)

Structural model:
```
28
Lattice="-4.838 8.679 9.828 4.838 -8.679 9.828 4.838 8.679 -9.828" Properties=species:S:1:pos:R:3 pbc="T T T"
Cs 2.246 0.424 0.000
Cs 6.415 3.681 -2.444
Cs 1.577 4.998 -2.444
Cs 0.000 0.000 4.914
Cs 6.415 3.681 2.444
Cs 1.577 4.998 2.444
Cs 2.246 -0.424 9.828
Cs 2.592 9.103 0.000
Cs 3.260 3.681 7.384
Cs -1.577 4.998 7.384
Cs 0.000 0.000 14.742
Cs 3.260 3.681 12.272
Cs -1.577 4.998 12.272
Cs 2.592 8.254 9.828
Te 6.396 -1.538 3.497
Te 4.346 -5.765 9.828
Te 3.279 -1.538 6.331
Te 3.279 1.538 3.497
Te 4.346 5.765 0.000
Te 6.396 1.538 6.331
Te -1.558 7.141 3.497
Te 0.492 2.914 9.828
Te 1.558 7.141 6.331
Te 1.558 10.217 3.497
Te 0.492 14.444 0.000
Te -1.558 10.217 6.331
As 4.838 0.000 4.914
As 0.000 8.679 4.914
```

Top 8 peaks for 10 to 90 degrees two-theta, in order of rising 2θ:
- 2θ 13.82, rel. 274
- 2θ 20.77, rel. 551
- 2θ 22.91, rel. 1000
- 2θ 24.41, rel. 233
- 2θ 27.62, rel. 503
- 2θ 29.10, rel. 313
- 2θ 29.73, rel. 322
- 2θ 34.64, rel. 249